Theoretical XRD peak list of MgGa4W2O12 for Cu Kα, from a crystal structure in Alexandria, relaxed with GGA+U.
No peak broadening, texture or thermal motion is included.

Structural model:
```
MgGa4W2O12
1.0
4.7472 0.0000 0.0000
0.0000 9.1866 0.0000
-0.0724 0.0000 4.7710
Mg Ga W O
1 4 2 12
direct
0.0000 0.0000 0.0000 Mg
0.0000 0.6329 0.5000 Ga
0.0000 0.9660 0.5000 Ga
0.5000 0.1497 0.0000 Ga
0.5000 0.4680 0.0000 Ga
0.0000 0.3087 0.5000 W
0.5000 0.7951 0.0000 W
0.1724 0.1323 0.2815 O
0.1768 0.8137 0.2681 O
0.1875 0.4707 0.3003 O
0.3089 0.3022 0.7892 O
0.3157 0.6362 0.7931 O
0.3273 0.9714 0.7845 O
0.6727 0.9714 0.2155 O
0.6843 0.6362 0.2069 O
0.6911 0.3022 0.2108 O
0.8125 0.4707 0.6997 O
0.8232 0.8137 0.7319 O
0.8276 0.1323 0.7185 O
```

Largest 10 diffraction maxima, low angle first, 15° ≤ 2θ ≤ 90°:
2θ (°)  d/Å  I_rel  index
21.0  4.226  46  0 1 1
26.3  3.391  64  1 0 -1
26.7  3.340  61  1 0 1
34.8  2.575  100  1 3 0
37.7  2.385  15  0 0 2
37.9  2.373  18  2 0 0
52.1  1.757  25  1 3 -2
52.2  1.753  20  2 3 -1
52.5  1.742  25  1 3 2
52.6  1.739  19  2 3 1